(1)
Structure and theoretical powder X-ray diffraction pattern of Ac5Pr12Y2 (a cell relaxed with GGA-PBE; Cu Kα X-rays).
Intensities are scaled so that the largest is 100.

Atomic structure:
Unit cell a=12.229 b=12.229 c=9.103 alpha=109.67 beta=109.67 gamma=35.40
Atoms (fractional coordinates):
Ac 0.000 0.000 0.000
Ac 0.246 0.246 0.985
Ac 0.349 0.349 0.411
Ac 0.651 0.651 0.589
Ac 0.754 0.754 0.015
Pr 0.053 0.548 0.710
Pr 0.140 0.140 0.552
Pr 0.156 0.634 0.124
Pr 0.366 0.844 0.876
Pr 0.452 0.947 0.290
Pr 0.453 0.453 0.809
Pr 0.547 0.547 0.191
Pr 0.548 0.053 0.710
Pr 0.634 0.156 0.124
Pr 0.844 0.366 0.876
Pr 0.860 0.860 0.448
Pr 0.947 0.452 0.290
Y 0.258 0.742 0.500
Y 0.742 0.258 0.500

Most intense lines, 2θ from 10° to 90°, low angle first:
2θ/deg, I (rel.)
28.87, 100.0
29.58, 29.9
29.95, 41.5
31.93, 17.5
32.14, 36.1
34.88, 41.1
47.91, 14.5
48.41, 16.6
55.31, 14.4
59.83, 14.5



(2)
Structure and theoretical powder X-ray diffraction pattern of Rb2NbCdSe4 (a cell relaxed with GGA-PBE; Cu Kα X-rays).
Intensities are scaled so that the largest is 100.

Atomic structure:
Unit cell a=14.220 b=12.820 c=7.804 alpha=83.38 beta=63.58 gamma=33.04
Atoms (fractional coordinates):
Rb 0.055 0.055 0.695
Rb 0.305 0.305 0.945
Rb 0.695 0.695 0.055
Rb 0.945 0.945 0.305
Nb 0.375 0.375 0.375
Nb 0.625 0.625 0.625
Cd 0.125 0.125 0.125
Cd 0.875 0.875 0.875
Se 0.002 0.358 0.446
Se 0.306 0.554 0.642
Se 0.358 0.002 0.694
Se 0.446 0.694 0.002
Se 0.554 0.306 0.998
Se 0.642 0.998 0.306
Se 0.694 0.446 0.358
Se 0.998 0.642 0.554

Most intense lines, 2θ from 10° to 90°, low angle first:
2θ/deg, I (rel.)
14.33, 68.8
14.50, 76.8
25.05, 64.1
25.50, 100.0
29.21, 55.5
29.37, 89.1
34.22, 73.9
37.55, 35.8
45.38, 38.5
47.14, 45.8



(3)
Structure and theoretical powder X-ray diffraction pattern of La2PmEr2Tm (a cell relaxed with GGA-PBE; Cu Kα X-rays).
Intensities are scaled so that the largest is 100.

Atomic structure:
Unit cell a=7.058 b=5.699 c=9.938 alpha=90.00 beta=90.00 gamma=90.00
Atoms (fractional coordinates):
La 0.000 0.000 0.000
La 0.250 0.500 0.171
La 0.500 0.000 0.000
La 0.750 0.500 0.829
Pm 0.000 0.500 0.500
Pm 0.500 0.500 0.500
Er 0.250 0.000 0.335
Er 0.250 0.500 0.832
Er 0.750 0.000 0.665
Er 0.750 0.500 0.168
Tm 0.250 0.000 0.662
Tm 0.750 0.000 0.338

Most intense lines, 2θ from 10° to 90°, low angle first:
2θ/deg, I (rel.)
31.12, 100.0
31.23, 76.9
31.39, 38.0
40.57, 11.1
44.60, 12.6
44.76, 24.3
55.46, 20.2
55.56, 13.2
55.76, 27.9
61.78, 33.0